For Ta5Tc, a cell relaxed with GGA-PBE gives the simulated X-ray diffraction stick pattern in this record (Cu Kα (weighted mean of Kα1 and Kα2)).

Crystal structure
Unit cell a=5.4573 b=5.4573 c=6.5859 alpha=107.94 beta=107.94 gamma=34.45
Element x y z (fractional)
Ta1 0.0000 0.0000 0.0000
Ta2 0.3362 0.3362 0.1748
Ta3 0.3392 0.3392 0.6624
Ta4 0.6608 0.6608 0.3376
Ta5 0.6638 0.6638 0.8252
Tc1 0.0000 0.0000 0.5000

Largest 8 diffraction maxima, sorted by position, 10° ≤ 2θ ≤ 80°:
| 2θ/deg | d/Å | Rel. int. |
| --- | --- | --- |
| 38.55 | 2.335 | 25.8 |
| 38.83 | 2.319 | 25.4 |
| 39.06 | 2.306 | 100.0 |
| 55.87 | 1.646 | 17.9 |
| 70.09 | 1.343 | 17.6 |
| 70.46 | 1.336 | 17.6 |
| 70.92 | 1.329 | 8.7 |
| 71.11 | 1.326 | 8.7 |